The following is a calculated XRD peak list of K5As3Pb3. It was derived from DFT lattice parameters and positions (GGA-PBE), using copper Kα.
Peak positions follow from Bragg's law for the DFT cell and can differ from measured ones.

Structure:
Lattice parameters (Å, degrees): 19.7566 12.3145 6.6569 90.00 90.00 90.00
Space group Pnma (No. 62)
Symmetry-distinct sites (fractional):
K 0.0000 0.0000 0.0000 x4
K 0.1024 0.2500 0.0474 x4
K 0.1196 0.7500 0.7384 x4
K 0.1794 0.5461 0.2731 x8
As 0.0449 0.7500 0.2380 x4
As 0.1526 0.0530 0.7661 x8
Pb 0.0434 0.1175 0.5234 x8
Pb 0.1926 0.2500 0.5606 x4

Top 8 peaks for 5 to 70 degrees two-theta, by angle:
Position (°2θ)  Rel. int.  index
9.0  43  2 0 0
11.5  77  2 1 0
14.0  100  1 0 1
15.8  53  1 1 1
28.3  54  4 3 0
32.4  45  1 4 1
34.9  40  3 4 1
41.0  39  4 5 0